The following is a simulated PXRD pattern of MgZnBr4O7. It was derived from a cell relaxed with GGA-PBE, using Cu Kα, 1.54184 Å.

Cell and atoms:
a b c (Å): 6.3227 14.8596 11.7745
angles (deg): 90.00 113.32 90.00
Space group P2_1/c (No. 14)
Unique sites:
Mg: 0.0000 0.0000 0.0000
Mg: 0.0000 0.0000 0.5000
Zn: 0.2914 0.2392 0.2818
Br: 0.0557 0.7303 0.7115
Br: 0.3573 0.6713 0.0630
Br: 0.3645 0.5679 0.3804
Br: 0.3932 0.1732 0.6363
O: 0.0154 0.5141 0.8078
O: 0.1279 0.1273 0.5326
O: 0.1826 0.5996 0.4518
O: 0.2173 0.5016 0.7978
O: 0.2188 0.5180 0.6850
O: 0.3026 0.5647 0.1152
O: 0.3610 0.0905 0.0133

The 12 most intense peaks (2θ = 10–80°), in order of falling intensity:
hkl 0 4 2, 2θ 29.19, intensity 100.0
hkl 0 3 1, 2θ 19.71, intensity 62.6
hkl 1 3 1, 2θ 26.98, intensity 40.4
hkl 0 2 2, 2θ 20.31, intensity 39.1
hkl 0 3 2, 2θ 24.37, intensity 36.3
hkl 1 0 -4, 2θ 30.45, intensity 35.1
hkl 1 3 -3, 2θ 29.57, intensity 32.5
hkl 0 2 0, 2θ 11.91, intensity 32.4
hkl 1 1 -3, 2θ 24.10, intensity 32.4
hkl 1 5 -1, 2θ 33.35, intensity 32.2
hkl 1 1 2, 2θ 27.29, intensity 30.9
hkl 1 3 0, 2θ 23.61, intensity 29.1

---

The following is a simulated PXRD pattern of MgZnBr4O7. It was derived from a cell relaxed with GGA-PBE, using Cu Kα, 1.54184 Å.

Cell and atoms:
a b c (Å): 7.3726 12.7935 11.0706
angles (deg): 90.00 110.36 90.00
Space group P2_1/c (No. 14)
Unique sites:
Mg: 0.0000 0.0000 0.0000
Mg: 0.0000 0.0000 0.5000
Zn: 0.2895 0.2141 0.3490
Br: 0.0075 0.1755 0.7329
Br: 0.3292 0.5115 0.8202
Br: 0.3530 0.1921 0.1201
Br: 0.4012 0.6596 0.5486
O: 0.9998 0.1430 0.5763
O: 0.0388 0.5676 0.3307
O: 0.1389 0.1410 0.9969
O: 0.1787 0.5221 0.2950
O: 0.1811 0.5532 0.1806
O: 0.2468 0.5964 0.6288
O: 0.2888 0.0850 0.4380

The 12 most intense peaks (2θ = 10–80°), in order of falling intensity:
hkl 1 0 -4, 2θ 32.35, intensity 100.0
hkl 0 3 1, 2θ 22.55, intensity 98.2
hkl 2 1 1, 2θ 30.77, intensity 79.5
hkl 1 1 0, 2θ 14.57, intensity 75.3
hkl 1 1 1, 2θ 19.04, intensity 63.0
hkl 1 3 1, 2θ 27.48, intensity 62.9
hkl 1 3 0, 2θ 24.51, intensity 62.0
hkl 2 2 -2, 2θ 29.14, intensity 60.5
hkl 2 2 -1, 2θ 27.94, intensity 53.2
hkl 2 1 -4, 2θ 36.01, intensity 51.3
hkl 3 0 0, 2θ 39.10, intensity 48.8
hkl 1 2 2, 2θ 28.49, intensity 48.1

---

The following is a simulated PXRD pattern of Mn3Br. It was derived from a cell relaxed with GGA-PBE, using Cu Kα, 1.54184 Å.

Cell and atoms:
a b c (Å): 3.9401 3.9401 8.8125
angles (deg): 90.00 90.00 90.00
Space group I4/mmm (No. 139)
Unique sites:
Mn: 0.0000 0.0000 0.0000
Mn: 0.0000 0.5000 0.2500
Br: 0.0000 0.0000 0.5000

The 12 most intense peaks (2θ = 10–80°), in order of falling intensity:
hkl 1 1 2, 2θ 38.22, intensity 100.0
hkl 2 0 0, 2θ 46.07, intensity 28.1
hkl 2 0 4, 2θ 63.33, intensity 20.4
hkl 0 0 4, 2θ 40.97, intensity 20.1
hkl 1 1 6, 2θ 72.79, intensity 13.3
hkl 2 2 0, 2θ 67.20, intensity 8.4
hkl 1 0 1, 2θ 24.75, intensity 3.3
hkl 2 1 1, 2θ 52.99, intensity 1.4
hkl 0 0 2, 2θ 20.15, intensity 1.3
hkl 1 1 0, 2θ 32.13, intensity 0.8
hkl 2 1 3, 2θ 61.35, intensity 0.6
hkl 3 1 0, 2θ 76.44, intensity 0.6

---

The following is a simulated PXRD pattern of RbMnBr3. It was derived from a cell relaxed with GGA-PBE, using Cu Kα, 1.54184 Å.

Cell and atoms:
a b c (Å): 13.1885 13.1885 6.6095
angles (deg): 90.00 90.00 120.00
Space group P6_3cm (No. 185)
Unique sites:
Rb: 0.0000 0.3335 0.0000
Mn: 0.0000 0.0000 0.2011
Mn: 0.3333 0.6667 0.3081
Br: 0.0000 0.1620 0.4491
Br: 0.1717 0.5049 0.5607

The 12 most intense peaks (2θ = 10–80°), in order of falling intensity:
hkl 2 2 1, 2θ 30.29, intensity 100.0
hkl 0 0 2, 2θ 27.01, intensity 26.0
hkl 6 0 0, 2θ 47.78, intensity 25.8
hkl 2 2 2, 2θ 38.57, intensity 22.3
hkl 1 1 0, 2θ 13.43, intensity 18.9
hkl 4 4 1, 2θ 57.63, intensity 15.6
hkl 6 0 2, 2θ 55.73, intensity 13.2
hkl 8 2 1, 2θ 78.03, intensity 12.6
hkl 2 2 3, 2θ 49.79, intensity 12.5
hkl 2 1 2, 2θ 34.17, intensity 5.7
hkl 4 4 2, 2θ 63.00, intensity 5.4
hkl 3 1 3, 2θ 50.47, intensity 4.9

---

The following is a simulated PXRD pattern of RbMnBr3. It was derived from a cell relaxed with GGA-PBE, using Cu Kα, 1.54184 Å.

Cell and atoms:
a b c (Å): 7.6419 7.6419 6.5574
angles (deg): 90.00 90.00 120.00
Space group P6_3/mmc (No. 194)
Unique sites:
Rb: 0.3333 0.6667 0.2500
Mn: 0.0000 0.0000 0.0000
Br: 0.1618 0.3236 0.7500

The 12 most intense peaks (2θ = 10–80°), in order of falling intensity:
hkl 2 0 1, 2θ 30.25, intensity 100.0
hkl 2 0 2, 2θ 38.66, intensity 30.2
hkl 2 2 0, 2θ 47.60, intensity 24.7
hkl 2 0 3, 2θ 50.01, intensity 23.7
hkl 0 0 2, 2θ 27.20, intensity 20.4
hkl 1 0 0, 2θ 13.38, intensity 18.0
hkl 2 2 2, 2θ 55.68, intensity 15.7
hkl 4 0 1, 2θ 57.44, intensity 15.3
hkl 4 2 1, 2θ 77.74, intensity 13.2
hkl 2 2 4, 2θ 76.58, intensity 11.8
hkl 2 0 0, 2θ 26.94, intensity 9.8
hkl 4 0 3, 2θ 71.52, intensity 7.9

---

The following is a simulated PXRD pattern of Rb2MnBr4. It was derived from a cell relaxed with GGA-PBE, using Cu Kα, 1.54184 Å.

Cell and atoms:
a b c (Å): 5.4094 5.4094 17.1342
angles (deg): 90.00 90.00 90.00
Space group I4/mmm (No. 139)
Unique sites:
Rb: 0.0000 0.0000 0.1401
Mn: 0.0000 0.0000 0.5000
Br: 0.0000 0.0000 0.3433
Br: 0.0000 0.5000 0.0000

The 12 most intense peaks (2θ = 10–80°), in order of falling intensity:
hkl 0 0 6, 2θ 31.35, intensity 100.0
hkl 2 0 0, 2θ 33.12, intensity 66.5
hkl 2 2 6, 2θ 58.05, intensity 42.2
hkl 2 0 6, 2θ 46.23, intensity 35.5
hkl 1 1 2, 2θ 25.50, intensity 35.5
hkl 1 1 0, 2θ 23.25, intensity 28.3
hkl 0 0 2, 2θ 10.33, intensity 27.1
hkl 2 2 0, 2θ 47.54, intensity 23.3
hkl 4 2 0, 2θ 79.15, intensity 21.3
hkl 2 0 8, 2θ 54.69, intensity 19.8
hkl 4 0 6, 2θ 78.22, intensity 12.6
hkl 1 1 10, 2θ 59.08, intensity 12.5